Structure and computed X-ray powder pattern of Tb4SmY4 (the PBE geometry in Alexandria; Cu Kα (λ = 1.5418 Å)).
No peak broadening, texture or thermal motion is included.

Cell and atoms:
a = 7.9915 Å, b = 7.9915 Å, c = 7.9915 Å
α = 95.72°, β = 95.72°, γ = 143.20°
Positions (direct):
1 Tb 0.0000 0.3345 0.3345
2 Tb 0.0000 0.6655 0.6655
3 Tb 0.3345 0.0000 0.3345
4 Tb 0.6655 0.0000 0.6655
5 Sm 0.0000 0.0000 0.0000
6 Y 0.3331 0.3331 0.6662
7 Y 0.3331 0.6669 0.0000
8 Y 0.6669 0.3331 0.0000
9 Y 0.6669 0.6669 0.3338

The 12 most intense peaks (5 to 70 degrees two-theta), most intense first:
2θ (°), I (rel.)
30.65, 100.0
35.54, 50.4
51.14, 35.5
60.78, 28.0
60.88, 13.9
63.83, 12.1
19.44, 3.4
16.53, 2.6
11.67, 2.1
35.02, 1.8
26.28, 1.7
25.63, 1.2

Structure and computed X-ray powder pattern of Li5Ac4Pd6 (the PBE geometry in Alexandria; Cu Kα (λ = 1.5418 Å)).
No peak broadening, texture or thermal motion is included.

Cell and atoms:
a = 10.4663 Å, b = 10.4663 Å, c = 15.8887 Å
α = 90.00°, β = 90.00°, γ = 156.14°
Positions (direct):
1 Li 0.0668 0.9332 0.5000
2 Li 0.1474 0.8526 0.8359
3 Li 0.1626 0.8374 0.0884
4 Li 0.2020 0.7980 0.4582
5 Li 0.3433 0.6567 0.4643
6 Li 0.6567 0.3433 0.9643
7 Li 0.7980 0.2020 0.9582
8 Li 0.8374 0.1626 0.5884
9 Li 0.8526 0.1474 0.3359
10 Li 0.9332 0.0668 0.0000
11 Ac 0.3166 0.6834 0.7799
12 Ac 0.3330 0.6670 0.1442
13 Ac 0.4702 0.5298 0.6034
14 Ac 0.4904 0.5096 0.3451
15 Ac 0.5096 0.4904 0.8451
16 Ac 0.5298 0.4702 0.1034
17 Ac 0.6670 0.3330 0.6442
18 Ac 0.6834 0.3166 0.2799
19 Pd 0.0600 0.9400 0.6961
20 Pd 0.0665 0.9335 0.9688
21 Pd 0.0765 0.9235 0.2385
22 Pd 0.2697 0.7303 0.6015
23 Pd 0.2835 0.7165 0.3224
24 Pd 0.3821 0.6179 0.9556
25 Pd 0.6179 0.3821 0.4556
26 Pd 0.7165 0.2835 0.8224
27 Pd 0.7303 0.2697 0.1015
28 Pd 0.9235 0.0765 0.7385
29 Pd 0.9335 0.0665 0.4688
30 Pd 0.9400 0.0600 0.1961

The 12 most intense peaks (5 to 70 degrees two-theta), most intense first:
2θ (°), I (rel.)
34.60, 100.0
30.87, 97.5
30.04, 84.6
11.14, 57.6
28.44, 57.1
41.75, 55.4
20.98, 51.4
30.57, 38.6
47.60, 35.1
32.13, 33.2
35.32, 31.7
65.15, 29.5

Structure and computed X-ray powder pattern of Tl2NiHSe2 (the PBE geometry in Alexandria; Cu Kα (λ = 1.5418 Å)).
No peak broadening, texture or thermal motion is included.

Cell and atoms:
a = 9.3233 Å, b = 9.3233 Å, c = 9.3233 Å
α = 143.76°, β = 49.41°, γ = 147.57°
Positions (direct):
1 Tl 0.1714 0.2204 0.3918
2 Tl 0.3286 0.7204 0.0490
3 Tl 0.6714 0.2796 0.9510
4 Tl 0.8286 0.7796 0.6082
5 Ni 0.2500 0.2500 0.0000
6 Ni 0.7500 0.7500 0.0000
7 H 0.2500 0.7500 0.5000
8 H 0.7500 0.2500 0.5000
9 Se 0.0708 0.7200 0.7908
10 Se 0.4292 0.2200 0.6492
11 Se 0.5708 0.7800 0.3508
12 Se 0.9292 0.2800 0.2092

The 12 most intense peaks (5 to 70 degrees two-theta), most intense first:
2θ (°), I (rel.)
31.29, 100.0
25.28, 26.7
46.90, 21.3
30.84, 20.1
34.45, 17.7
59.76, 16.5
55.13, 15.2
49.03, 13.2
31.69, 9.2
53.59, 8.7
55.98, 8.6
37.60, 6.9

Structure and computed X-ray powder pattern of Ba6Bi6O17 (the PBE geometry in Alexandria; Cu Kα (λ = 1.5418 Å)).
No peak broadening, texture or thermal motion is included.

Cell and atoms:
a = 10.9637 Å, b = 10.9637 Å, c = 10.9637 Å
α = 146.44°, β = 132.98°, γ = 59.00°
Positions (direct):
1 Ba 0.0000 0.0000 0.0000
2 Ba 0.1748 0.6748 0.5000
3 Ba 0.3244 0.3244 0.0000
4 Ba 0.5000 0.0000 0.5000
5 Ba 0.6756 0.6756 0.0000
6 Ba 0.8252 0.3252 0.5000
7 Bi 0.0809 0.8349 0.2460
8 Bi 0.2489 0.5000 0.7489
9 Bi 0.4110 0.1651 0.2460
10 Bi 0.5890 0.8349 0.7540
11 Bi 0.7511 0.5000 0.2511
12 Bi 0.9191 0.1651 0.7540
13 O 0.0000 0.0000 0.5000
14 O 0.0000 0.5000 0.0000
15 O 0.1368 0.1653 0.4679
16 O 0.1368 0.6689 0.9715
17 O 0.1821 0.1821 0.0000
18 O 0.3026 0.3311 0.4679
19 O 0.3026 0.8347 0.9715
20 O 0.3446 0.8446 0.5000
21 O 0.5000 0.0000 0.0000
22 O 0.5000 0.5000 0.0000
23 O 0.5000 0.5000 0.5000
24 O 0.6554 0.1554 0.5000
25 O 0.6974 0.1653 0.0285
26 O 0.6974 0.6689 0.5321
27 O 0.8179 0.8179 0.0000
28 O 0.8632 0.3311 0.0285
29 O 0.8632 0.8347 0.5321

The 12 most intense peaks (5 to 70 degrees two-theta), most intense first:
2θ (°), I (rel.)
28.50, 100.0
40.20, 27.5
28.20, 24.9
28.05, 24.2
50.10, 21.9
49.92, 21.1
50.70, 20.8
58.98, 16.9
65.98, 14.0
41.28, 12.7
67.56, 9.1
19.79, 9.0

What is the formula in the third record?
Tl2NiHSe2